[1]
Diffraction record for YZn11. The powder XRD pattern is computed, not measured: it uses a DFT-relaxed cell (GGA-PBE, OQMD) and a wavelength of 1.5418 Å.
No peak broadening, texture or thermal motion is included.

Structure:
Unit cell a=8.184 b=8.184 c=8.184 alpha=99.88 beta=99.88 gamma=131.07
Sites, in units of the cell vectors:
Y  0.375  0.625  0.750
Y  0.625  0.375  0.250
Zn  0.000  0.000  0.000
Zn  0.000  0.000  0.500
Zn  0.000  0.500  0.000
Zn  0.125  0.875  0.250
Zn  0.131  0.555  0.334
Zn  0.131  0.796  0.576
Zn  0.204  0.279  0.334
Zn  0.204  0.869  0.924
Zn  0.279  0.204  0.834
Zn  0.279  0.445  0.076
Zn  0.445  0.279  0.576
Zn  0.445  0.869  0.166
Zn  0.500  0.000  0.500
Zn  0.555  0.131  0.834
Zn  0.555  0.721  0.424
Zn  0.721  0.555  0.924
Zn  0.721  0.796  0.166
Zn  0.796  0.131  0.076
Zn  0.796  0.721  0.666
Zn  0.869  0.204  0.424
Zn  0.869  0.445  0.666
Zn  0.875  0.125  0.750

The 6 most intense peaks (15° ≤ 2θ ≤ 90°), in order of falling intensity:
37.87°, rel. 100
45.06°, rel. 92
38.21°, rel. 75
46.97°, rel. 39
33.39°, rel. 36
40.84°, rel. 34

[2]
Diffraction record for TaSe4Cl6. The powder XRD pattern is computed, not measured: it uses a DFT-relaxed cell (GGA-PBE, OQMD) and a wavelength of 1.5418 Å.
No peak broadening, texture or thermal motion is included.

Structure:
Unit cell a=7.387 b=7.504 c=7.999 alpha=66.91 beta=70.54 gamma=63.22
Sites, in units of the cell vectors:
Ta  0.000  0.000  0.000
Se  0.313  0.458  0.683
Se  0.403  0.750  0.494
Se  0.597  0.250  0.506
Se  0.687  0.542  0.317
Cl  0.017  0.129  0.222
Cl  0.144  0.657  0.181
Cl  0.340  0.991  0.844
Cl  0.660  0.009  0.156
Cl  0.856  0.343  0.819
Cl  0.983  0.871  0.778

The 6 most intense peaks (15° ≤ 2θ ≤ 90°), in order of falling intensity:
16.55°, rel. 100
15.45°, rel. 56
15.61°, rel. 53
22.83°, rel. 44
33.67°, rel. 24
37.13°, rel. 15

[3]
Diffraction record for Tm2Fe3B4Ir2. The powder XRD pattern is computed, not measured: it uses a DFT-relaxed cell (GGA-PBE, OQMD) and a wavelength of 1.5418 Å.
No peak broadening, texture or thermal motion is included.

Structure:
Unit cell a=7.167 b=6.154 c=5.257 alpha=77.38 beta=56.91 gamma=45.71
Sites, in units of the cell vectors:
Tm  0.145  0.145  0.855
Tm  0.855  0.855  0.145
Fe  0.250  0.250  0.250
Fe  0.500  0.500  0.500
Fe  0.750  0.750  0.750
B  0.208  0.510  0.490
B  0.490  0.792  0.208
B  0.510  0.208  0.792
B  0.792  0.490  0.510
Ir  0.000  0.000  0.500
Ir  0.500  0.500  0.000

The 6 most intense peaks (15° ≤ 2θ ≤ 90°), in order of falling intensity:
39.28°, rel. 100
38.02°, rel. 73
31.05°, rel. 60
39.75°, rel. 47
47.35°, rel. 43
42.17°, rel. 33